This entry pairs a crystal structure of LiBi2P3O11 with its calculated PXRD pattern. Radiation: Cu Kα X-rays. Structure: a DFT-relaxed cell (GGA-PBE, Alexandria).
Lines closer than 0.1° are merged.

Crystal structure
```
data_LiBi2P3O11
_chemical_formula_sum 'Li4 Bi8 P12 O44'
_cell_length_a 13.281
_cell_length_b 9.269
_cell_length_c 9.857
_cell_angle_alpha 90.00
_cell_angle_beta 123.28
_cell_angle_gamma 90.00
_space_group_name_H-M_alt 'C 1 2 1'
_space_group_IT_number 5
_space_group_name_Hall 'C 2y'
loop_
_atom_site_label
_atom_site_type_symbol
_atom_site_fract_x
_atom_site_fract_y
_atom_site_fract_z
Li1 Li 0.246 0.000 0.214
Bi1 Bi 0.122 0.481 0.316
Bi2 Bi 0.126 0.929 0.811
P1 P 0.000 0.653 0.500
P2 P 0.000 0.764 0.000
P3 P 0.102 0.147 0.479
P4 P 0.109 0.262 0.998
O1 O 0.000 0.185 0.000
O2 O 0.000 0.218 0.500
O3 O 0.028 0.746 0.647
O4 O 0.041 0.061 0.319
O5 O 0.055 0.673 0.154
O6 O 0.059 0.353 0.845
O7 O 0.103 0.864 0.018
O8 O 0.112 0.557 0.551
O9 O 0.173 0.358 0.152
O10 O 0.176 0.043 0.625
O11 O 0.180 0.268 0.482
O12 O 0.193 0.140 0.018
```

Main lines, by angle (2θ from 10° to 90°):
| 2θ/deg | I/Imax |
| --- | --- |
| 13.28 | 31 |
| 19.14 | 100 |
| 22.38 | 49 |
| 26.73 | 24 |
| 29.00 | 29 |
| 29.52 | 30 |
| 33.47 | 31 |
| 37.78 | 18 |